Starting from DFT lattice parameters and positions (GGA+U), the XRD peak list of DyCdMo2O8 was calculated for CuKα.
Peak positions follow from Bragg's law for the DFT cell and can differ from measured ones.

Principal peaks in the range 10° ≤ 2θ ≤ 80°, sorted by position:
| Position (°2θ) | intensity |
| --- | --- |
| 28.84 | 100 |
| 34.24 | 19 |
| 47.37 | 30 |
| 54.75 | 16 |
| 58.04 | 27 |
| 76.71 | 19 |

Crystal structure
Lattice parameters (Å, degrees): 5.2379 5.2379 11.2806 90.00 90.00 90.00
Space group I-4 (No. 82)
Unique sites:
Dy 0.0000 0.0000 0.0000 (multiplicity 2)
Cd 0.0000 0.5000 0.7500 (multiplicity 2)
Mo 0.0000 0.0000 0.5000 (multiplicity 2)
Mo 0.0000 0.5000 0.2500 (multiplicity 2)
O 0.1673 0.7586 0.1627 (multiplicity 8)
O 0.1744 0.2395 0.5830 (multiplicity 8)